Entry 1:
# SrEuO2
Simulated X-ray powder pattern, Cu Kα, 1.54184 Å. Input: a cell relaxed with PBE.

Structural model:
```
12
Lattice="3.636 0.000 0.000 -1.818 3.149 0.000 0.000 0.000 17.899" Properties=species:S:1:pos:R:3 pbc="T T T"
Sr 0.000 0.000 0.000
Sr 0.000 2.099 11.933
Sr 1.818 1.050 5.966
Eu 0.000 0.000 8.949
Eu 0.000 2.099 2.983
Eu 1.818 1.050 14.916
O 0.000 0.000 4.437
O 0.000 0.000 13.462
O 0.000 2.099 7.496
O 0.000 2.099 16.369
O 1.818 1.050 1.530
O 1.818 1.050 10.403
```

Largest 10 diffraction maxima, most intense first, 15 to 90 degrees two-theta:
- 34.8 deg, I = 100.0
- 30.1 deg, I = 83.3
- 59.6 deg, I = 38.4
- 50.0 deg, I = 34.4
- 50.2 deg, I = 34.0
- 30.0 deg, I = 28.1
- 62.5 deg, I = 17.1
- 83.9 deg, I = 14.9
- 84.2 deg, I = 14.8
- 59.4 deg, I = 12.9

=====

Entry 2:
# Zn13Co
Simulated X-ray powder pattern, Cu Kα, 1.54184 Å. Input: a cell relaxed with PBE.

Structural model:
```
14
Lattice="5.414 -3.804 0.000 5.414 3.804 0.000 -1.004 0.000 4.958" Properties=species:S:1:pos:R:3 pbc="T T T"
Zn 0.000 0.000 0.000
Zn 3.308 2.440 0.986
Zn 3.890 1.570 3.386
Zn 2.023 0.000 1.846
Zn 6.516 2.440 3.972
Zn 5.934 1.570 1.572
Zn 4.120 0.000 0.349
Zn 5.705 0.000 4.609
Zn 3.890 -1.570 3.386
Zn 3.308 -2.440 0.986
Zn 7.801 0.000 3.111
Zn 5.934 -1.570 1.572
Zn 6.516 -2.440 3.972
Co -0.502 0.000 2.479
```

Largest 10 diffraction maxima, most intense first, 15 to 90 degrees two-theta:
- 41.7 deg, I = 100.0
- 42.6 deg, I = 64.5
- 41.9 deg, I = 50.2
- 43.6 deg, I = 37.5
- 44.3 deg, I = 35.5
- 43.2 deg, I = 29.7
- 36.0 deg, I = 26.6
- 43.9 deg, I = 24.8
- 75.4 deg, I = 17.8
- 74.4 deg, I = 17.2

=====

Entry 3:
# Rb2U3I4O20
Simulated X-ray powder pattern, Cu Kα, 1.54184 Å. Input: a cell relaxed with PBE.

Structural model:
```
29
Lattice="7.102 0.000 0.000 -0.312 8.173 0.000 -2.373 -0.118 9.055" Properties=species:S:1:pos:R:3 pbc="T T T"
Rb 0.871 0.677 3.177
Rb 3.545 7.379 5.878
U -1.343 4.028 4.528
U 2.293 4.698 2.793
U 2.124 3.358 6.262
I -1.305 2.347 7.920
I -0.370 6.837 8.567
I 4.787 1.219 0.488
I 5.721 5.708 1.135
O -1.246 5.760 5.109
O -2.143 6.296 8.578
O -1.158 0.733 7.126
O 0.090 4.994 1.985
O -0.268 3.326 6.674
O 0.888 3.944 4.419
O 2.321 0.150 0.720
O 2.323 3.008 2.081
O 2.728 5.610 0.558
O 2.251 6.421 3.428
O 2.166 1.635 5.627
O 1.689 2.446 8.497
O 2.094 5.048 6.974
O 2.096 7.906 8.335
O 3.528 4.112 4.636
O 4.684 4.730 2.381
O 4.327 3.062 7.070
O 5.575 7.323 1.929
O 6.560 1.760 0.477
O 5.662 2.296 3.946
```

Largest 10 diffraction maxima, most intense first, 15 to 90 degrees two-theta:
- 24.0 deg, I = 100.0
- 28.6 deg, I = 65.2
- 27.9 deg, I = 56.3
- 27.2 deg, I = 55.3
- 26.2 deg, I = 52.7
- 23.4 deg, I = 51.3
- 29.1 deg, I = 47.9
- 28.1 deg, I = 46.0
- 25.3 deg, I = 42.1
- 30.3 deg, I = 36.8

=====

Entry 4:
# Ga2Ge3N4
Simulated X-ray powder pattern, Cu Kα, 1.54184 Å. Input: a cell relaxed with PBE.

Structural model:
```
18
Lattice="4.776 -4.030 0.000 4.776 4.030 0.000 -1.153 0.000 6.636" Properties=species:S:1:pos:R:3 pbc="T T T"
Ga 1.723 0.577 3.079
Ga 1.147 -0.577 6.397
Ga 7.252 0.577 0.239
Ga 6.676 -0.577 3.557
Ge 4.488 3.126 1.659
Ge 2.829 1.729 5.896
Ge 4.994 1.729 4.058
Ge 3.406 -1.729 2.578
Ge 5.570 -1.729 0.740
Ge 3.911 -3.126 4.977
N 1.147 0.326 1.103
N 0.571 -0.326 4.421
N 3.049 1.677 3.906
N 4.773 1.677 6.048
N 3.626 -1.677 0.588
N 5.350 -1.677 2.730
N 7.828 0.326 2.215
N 7.252 -0.326 5.533
```

Largest 10 diffraction maxima, most intense first, 15 to 90 degrees two-theta:
- 31.4 deg, I = 100.0
- 38.0 deg, I = 91.6
- 29.2 deg, I = 68.0
- 35.7 deg, I = 63.5
- 41.8 deg, I = 58.1
- 37.7 deg, I = 41.2
- 33.6 deg, I = 40.2
- 44.6 deg, I = 27.1
- 18.6 deg, I = 21.8
- 25.9 deg, I = 21.4

=====

Entry 5:
# TmTc2
Simulated X-ray powder pattern, Cu Kα, 1.54184 Å. Input: a cell relaxed with PBE.

Structural model:
```
12
Lattice="5.339 0.000 0.000 -2.670 4.624 0.000 0.000 0.000 8.831" Properties=species:S:1:pos:R:3 pbc="T T T"
Tm 0.000 3.082 0.563
Tm 0.000 3.082 3.852
Tm 2.670 1.541 4.978
Tm 2.670 1.541 8.268
Tc 0.000 0.000 0.000
Tc 0.000 0.000 4.415
Tc 0.000 1.593 6.623
Tc -1.290 3.827 6.623
Tc 1.380 0.797 2.208
Tc 1.290 3.827 6.623
Tc 3.959 0.797 2.208
Tc 2.670 3.031 2.208
```

Largest 10 diffraction maxima, most intense first, 15 to 90 degrees two-theta:
- 39.4 deg, I = 100.0
- 36.2 deg, I = 90.3
- 40.3 deg, I = 69.5
- 33.6 deg, I = 46.8
- 66.6 deg, I = 34.6
- 61.7 deg, I = 33.8
- 70.6 deg, I = 25.3
- 64.0 deg, I = 24.1
- 82.0 deg, I = 16.8
- 76.8 deg, I = 16.1

=====

Entry 6:
# SmAg2Sn
Simulated X-ray powder pattern, Cu Kα, 1.54184 Å. Input: a cell relaxed with PBE.

Structural model:
```
16
Lattice="7.116 0.000 0.000 0.000 7.116 0.000 0.000 0.000 7.116" Properties=species:S:1:pos:R:3 pbc="T T T"
Sm 0.000 0.000 0.000
Sm 0.000 3.558 3.558
Sm 3.558 0.000 3.558
Sm 3.558 3.558 0.000
Ag 1.779 1.779 1.779
Ag 1.779 1.779 5.337
Ag 1.779 5.337 1.779
Ag 1.779 5.337 5.337
Ag 5.337 1.779 1.779
Ag 5.337 1.779 5.337
Ag 5.337 5.337 1.779
Ag 5.337 5.337 5.337
Sn 0.000 0.000 3.558
Sn 0.000 3.558 0.000
Sn 3.558 0.000 0.000
Sn 3.558 3.558 3.558
```

Largest 8 diffraction maxima, most intense first, 15 to 90 degrees two-theta:
- 35.7 deg, I = 100.0
- 64.1 deg, I = 35.4
- 51.4 deg, I = 17.4
- 86.5 deg, I = 16.0
- 75.6 deg, I = 11.0
- 25.0 deg, I = 1.0
- 21.6 deg, I = 0.8
- 58.0 deg, I = 0.6

=====

Entry 7:
# Pr7FeI12
Simulated X-ray powder pattern, Cu Kα, 1.54184 Å. Input: a cell relaxed with PBE.

Structural model:
```
20
Lattice="8.071 4.660 3.689 -8.071 4.660 3.689 0.000 -9.320 3.689" Properties=species:S:1:pos:R:3 pbc="T T T"
Pr 0.000 0.000 0.000
Pr -2.187 -0.619 3.949
Pr 1.629 -1.585 3.949
Pr 0.558 2.204 3.949
Pr -0.558 -2.204 7.118
Pr -1.629 1.585 7.118
Pr 2.187 0.619 7.118
Fe 0.000 0.000 5.533
I -0.649 -2.564 1.769
I -1.896 1.844 1.769
I -3.153 -3.256 5.497
I -4.396 1.103 5.570
I 2.545 0.720 1.769
I 1.243 -4.358 5.570
I -1.243 4.358 5.497
I -2.545 -0.720 9.297
I 4.396 -1.103 5.497
I 3.153 3.256 5.570
I 1.896 -1.844 9.298
I 0.649 2.564 9.298
```

Largest 10 diffraction maxima, most intense first, 15 to 90 degrees two-theta:
- 28.1 deg, I = 100.0
- 40.0 deg, I = 35.7
- 40.3 deg, I = 35.5
- 49.8 deg, I = 17.6
- 58.1 deg, I = 15.6
- 24.3 deg, I = 14.4
- 65.9 deg, I = 14.2
- 65.6 deg, I = 12.8
- 26.6 deg, I = 9.7
- 33.0 deg, I = 9.2

=====

Entry 8:
# YNi4B
Simulated X-ray powder pattern, Cu Kα, 1.54184 Å. Input: a cell relaxed with PBE.

Structural model:
```
12
Lattice="4.976 0.000 0.000 -2.488 4.310 0.000 0.000 0.000 6.953" Properties=species:S:1:pos:R:3 pbc="T T T"
Y 0.000 0.000 0.000
Y 0.000 0.000 3.476
Ni -1.244 2.155 1.446
Ni -1.244 2.155 5.507
Ni 0.000 2.873 3.476
Ni 2.488 0.000 1.446
Ni 2.488 0.000 5.507
Ni 1.244 2.155 1.446
Ni 1.244 2.155 5.507
Ni 2.488 1.437 3.476
B 0.000 2.873 0.000
B 2.488 1.437 0.000
```

Largest 10 diffraction maxima, most intense first, 15 to 90 degrees two-theta:
- 44.8 deg, I = 100.0
- 41.9 deg, I = 79.1
- 33.1 deg, I = 60.1
- 76.6 deg, I = 24.5
- 71.0 deg, I = 23.3
- 38.9 deg, I = 20.5
- 49.8 deg, I = 19.3
- 36.1 deg, I = 18.9
- 38.4 deg, I = 18.2
- 63.0 deg, I = 17.8